Simulated PXRD pattern of Hf2CuRh for a wavelength of 1.5418 Å, from the PBE geometry in the Materials Project.

```
Hf2CuRh
1.0
0.0000 3.2613 3.2613
3.2613 0.0000 3.2613
3.2613 3.2613 0.0000
Hf Cu Rh
2 1 1
Direct
0.2500 0.2500 0.2500 Hf
0.7500 0.7500 0.7500 Hf
0.0000 0.0000 0.0000 Cu
0.5000 0.5000 0.5000 Rh
```

Peak list (9 most intense, 2θ from 10° to 90°, by angle)
| two_theta | I (rel.) |
| --- | --- |
| 23.63 | 1 |
| 27.35 | 14 |
| 39.06 | 100 |
| 46.16 | 1 |
| 48.34 | 4 |
| 56.43 | 17 |
| 63.82 | 6 |
| 70.76 | 34 |
| 83.92 | 11 |


Simulated PXRD pattern of HfTlCuS3 for a wavelength of 1.5418 Å, from the PBE geometry in the Materials Project.

```
HfTlCuS3
1.0
1.8555 -7.2037 0.0000
1.8555 7.2037 0.0000
0.0000 0.0000 9.7600
Hf Tl Cu S
2 2 2 6
Direct
0.0000 0.0000 0.0000 Hf
0.0000 0.0000 0.5000 Hf
0.2557 0.7443 0.7500 Tl
0.7443 0.2557 0.2500 Tl
0.4619 0.5381 0.2500 Cu
0.5381 0.4619 0.7500 Cu
0.0606 0.9394 0.2500 S
0.3803 0.6197 0.0484 S
0.3803 0.6197 0.4516 S
0.6197 0.3803 0.5484 S
0.6197 0.3803 0.9516 S
0.9394 0.0606 0.7500 S
```

Peak list (10 most intense, 2θ from 10° to 90°, by angle)
| two_theta | I (rel.) |
| --- | --- |
| 22.00 | 100 |
| 24.72 | 60 |
| 26.43 | 39 |
| 30.89 | 40 |
| 31.82 | 80 |
| 35.68 | 36 |
| 36.84 | 40 |
| 41.93 | 31 |
| 43.89 | 33 |
| 44.87 | 34 |


Simulated PXRD pattern of HfTlCuSe3 for a wavelength of 1.5418 Å, from the PBE geometry in the Materials Project.

```
HfTlCuSe3
1.0
1.9265 -7.4541 0.0000
1.9265 7.4541 0.0000
0.0000 0.0000 10.1465
Hf Tl Cu Se
2 2 2 6
Direct
0.0000 0.0000 0.0000 Hf
0.0000 0.0000 0.5000 Hf
0.2481 0.7519 0.7500 Tl
0.7519 0.2481 0.2500 Tl
0.4645 0.5355 0.2500 Cu
0.5355 0.4645 0.7500 Cu
0.0666 0.9334 0.2500 Se
0.3765 0.6235 0.0488 Se
0.3765 0.6235 0.4512 Se
0.6235 0.3765 0.5488 Se
0.6235 0.3765 0.9512 Se
0.9334 0.0666 0.7500 Se
```

Peak list (10 most intense, 2θ from 10° to 90°, by angle)
| two_theta | I (rel.) |
| --- | --- |
| 21.18 | 67 |
| 29.33 | 28 |
| 30.65 | 100 |
| 34.35 | 54 |
| 35.39 | 46 |
| 35.84 | 31 |
| 40.42 | 33 |
| 42.26 | 36 |
| 47.18 | 28 |
| 54.32 | 32 |


Simulated PXRD pattern of Hf3Tl2Cu2Se8 for a wavelength of 1.5418 Å, from the PBE geometry in the Materials Project.

```
Hf3Tl2Cu2Se8
1.0
7.4666 -1.9109 0.0000
7.4666 1.9109 0.0000
-6.0480 0.0000 13.1814
Hf Tl Cu Se
3 2 2 8
Direct
0.0000 0.0000 0.0000 Hf
0.1551 0.1551 0.3802 Hf
0.8449 0.8449 0.6198 Hf
0.1685 0.1685 0.8016 Tl
0.8315 0.8315 0.1984 Tl
0.4593 0.4593 0.8020 Cu
0.5407 0.5407 0.1980 Cu
0.1432 0.1432 0.1908 Se
0.2048 0.2048 0.5814 Se
0.3927 0.3927 0.0396 Se
0.4797 0.4797 0.6446 Se
0.5203 0.5203 0.3554 Se
0.6073 0.6073 0.9604 Se
0.7952 0.7952 0.4186 Se
0.8568 0.8568 0.8092 Se
```

Peak list (10 most intense, 2θ from 10° to 90°, by angle)
| two_theta | I (rel.) |
| --- | --- |
| 11.92 | 56 |
| 18.94 | 44 |
| 22.38 | 39 |
| 29.50 | 33 |
| 29.95 | 44 |
| 30.62 | 100 |
| 31.91 | 40 |
| 34.01 | 69 |
| 36.88 | 32 |
| 47.59 | 46 |


Simulated PXRD pattern of HfCuSi for a wavelength of 1.5418 Å, from the PBE geometry in the Materials Project.

```
HfCuSi
1.0
6.4556 0.0000 0.0000
0.0000 3.8878 0.0000
0.0000 0.0000 7.2887
Hf Cu Si
4 4 4
Direct
0.0119 0.2500 0.1903 Hf
0.4881 0.7500 0.6903 Hf
0.5119 0.2500 0.3097 Hf
0.9881 0.7500 0.8097 Hf
0.1662 0.2500 0.5752 Cu
0.3338 0.7500 0.0752 Cu
0.6662 0.2500 0.9248 Cu
0.8338 0.7500 0.4248 Cu
0.2224 0.7500 0.3956 Si
0.2776 0.2500 0.8956 Si
0.7224 0.7500 0.1044 Si
0.7776 0.2500 0.6044 Si
```

Peak list (10 most intense, 2θ from 10° to 90°, by angle)
| two_theta | I (rel.) |
| --- | --- |
| 25.97 | 47 |
| 27.64 | 19 |
| 36.55 | 70 |
| 37.21 | 34 |
| 38.29 | 100 |
| 39.64 | 32 |
| 43.92 | 43 |
| 46.74 | 31 |
| 62.92 | 22 |
| 72.14 | 24 |


Simulated PXRD pattern of Hf4CuSi3 for a wavelength of 1.5418 Å, from the PBE geometry in the Materials Project.

```
Hf4CuSi3
1.0
3.7256 0.0000 0.0000
0.0000 3.7305 0.0000
0.0000 0.0000 9.9418
Hf Cu Si
4 1 3
Direct
0.0000 0.0000 0.0000 Hf
0.0000 0.5000 0.2923 Hf
0.5000 0.0000 0.4973 Hf
0.5000 0.5000 0.7930 Hf
0.0000 0.0000 0.7194 Cu
0.0000 0.5000 0.5713 Si
0.5000 0.0000 0.2259 Si
0.5000 0.5000 0.0652 Si
```

Peak list (10 most intense, 2θ from 10° to 90°, by angle)
| two_theta | I (rel.) |
| --- | --- |
| 25.53 | 23 |
| 29.95 | 58 |
| 35.22 | 100 |
| 36.14 | 25 |
| 36.28 | 53 |
| 43.89 | 22 |
| 48.86 | 36 |
| 58.11 | 21 |
| 58.40 | 18 |
| 62.29 | 43 |